The following is a computed powder X-ray diffraction pattern of La2Tm2Al. It was derived from DFT lattice parameters and positions (GGA-PBE), using λ = 1.5418 Å (Cu Kα).
Intensities are scaled so that the largest is 100.

The 12 most intense peaks (2θ from 10° to 90°), low angle first:
| 2θ/deg | d (Å) | I_rel |
| --- | --- | --- |
| 10.3 | 8.589 | 68 |
| 21.2 | 4.200 | 98 |
| 32.1 | 2.784 | 100 |
| 34.9 | 2.568 | 69 |
| 36.6 | 2.458 | 92 |
| 38.1 | 2.363 | 18 |
| 49.5 | 1.843 | 30 |
| 51.5 | 1.776 | 23 |
| 63.1 | 1.474 | 29 |
| 64.8 | 1.439 | 23 |
| 65.8 | 1.419 | 16 |
| 66.4 | 1.408 | 27 |

Structural model:
a b c (Å): 4.9151 4.9151 25.7673
angles (deg): 90.00 90.00 120.00
Fractional coordinates of all 15 atoms:
La  0.0000  0.0000  0.0656
La  0.0000  0.0000  0.9344
La  0.3333  0.6667  0.6010
La  0.3333  0.6667  0.7323
La  0.6667  0.3333  0.2677
La  0.6667  0.3333  0.3990
Tm  0.0000  0.0000  0.1995
Tm  0.0000  0.0000  0.8005
Tm  0.3333  0.6667  0.4672
Tm  0.3333  0.6667  0.8662
Tm  0.6667  0.3333  0.1338
Tm  0.6667  0.3333  0.5328
Al  0.0000  0.0000  0.5000
Al  0.3333  0.6667  0.1667
Al  0.6667  0.3333  0.8333



The following is a computed powder X-ray diffraction pattern of La6TmAl. It was derived from DFT lattice parameters and positions (GGA-PBE), using λ = 1.5418 Å (Cu Kα).
Intensities are scaled so that the largest is 100.

The 12 most intense peaks (2θ from 10° to 90°), low angle first:
| 2θ/deg | d (Å) | I_rel |
| --- | --- | --- |
| 19.5 | 4.546 | 6 |
| 30.4 | 2.939 | 100 |
| 35.0 | 2.564 | 17 |
| 35.4 | 2.536 | 34 |
| 50.6 | 1.803 | 23 |
| 50.9 | 1.793 | 12 |
| 60.0 | 1.543 | 14 |
| 60.5 | 1.531 | 28 |
| 63.3 | 1.469 | 12 |
| 82.5 | 1.169 | 11 |
| 82.9 | 1.164 | 6 |
| 85.7 | 1.134 | 6 |

Structural model:
a b c (Å): 5.0712 5.0712 10.2549
angles (deg): 90.00 90.00 90.00
Fractional coordinates of all 8 atoms:
La  0.0000  0.0000  0.0000
La  0.0000  0.0000  0.5000
La  0.0000  0.5000  0.2403
La  0.0000  0.5000  0.7597
La  0.5000  0.0000  0.2403
La  0.5000  0.0000  0.7597
Tm  0.5000  0.5000  0.5000
Al  0.5000  0.5000  0.0000



What did the second record say?
The following is a computed powder X-ray diffraction pattern of La6TmAl. It was derived from DFT lattice parameters and positions (GGA-PBE), using λ = 1.5418 Å (Cu Kα).
Intensities are scaled so that the largest is 100.

The 12 most intense peaks (2θ from 10° to 90°), low angle first:
| 2θ/deg | d (Å) | I_rel |
| --- | --- | --- |
| 19.5 | 4.546 | 6 |
| 30.4 | 2.939 | 100 |
| 35.0 | 2.564 | 17 |
| 35.4 | 2.536 | 34 |
| 50.6 | 1.803 | 23 |
| 50.9 | 1.793 | 12 |
| 60.0 | 1.543 | 14 |
| 60.5 | 1.531 | 28 |
| 63.3 | 1.469 | 12 |
| 82.5 | 1.169 | 11 |
| 82.9 | 1.164 | 6 |
| 85.7 | 1.134 | 6 |

Structural model:
a b c (Å): 5.0712 5.0712 10.2549
angles (deg): 90.00 90.00 90.00
Fractional coordinates of all 8 atoms:
La  0.0000  0.0000  0.0000
La  0.0000  0.0000  0.5000
La  0.0000  0.5000  0.2403
La  0.0000  0.5000  0.7597
La  0.5000  0.0000  0.2403
La  0.5000  0.0000  0.7597
Tm  0.5000  0.5000  0.5000
Al  0.5000  0.5000  0.0000



Which formula does entry 2 have?
La6TmAl



What is the formula in the second record?
La6TmAl